Record 1
Dy4CO3: theoretical powder diffraction line list (copper Kα), based on a structure optimized by DFT (GGA-PBE).
Neutral-atom scattering factors, no anomalous dispersion.

Largest 10 diffraction maxima, low angle first, 10° ≤ 2θ ≤ 90°:
d/Å, I_rel
2.830, 1000
2.820, 331
2.451, 658
2.443, 328
1.737, 113
1.730, 562
1.479, 196
1.475, 342
1.416, 112
1.094, 152

Atomic structure:
abc: 5.9804 6.9470 5.9939
angles: 90.00 109.42 90.00
Fractional coordinates of all 16 atoms:
Dy 0.2448 0.1198 0.0002
Dy 0.2448 0.8802 0.5002
Dy 0.2467 0.3694 0.4943
Dy 0.2467 0.6306 0.9943
Dy 0.7533 0.3694 0.0057
Dy 0.7533 0.6306 0.5057
Dy 0.7552 0.1198 0.4998
Dy 0.7552 0.8802 0.9998
C 0.0000 0.1305 0.2500
C 0.0000 0.8695 0.7500
O 0.0000 0.3797 0.7500
O 0.0000 0.6203 0.2500
O 0.5000 0.1332 0.7500
O 0.5000 0.3802 0.2500
O 0.5000 0.6198 0.7500
O 0.5000 0.8668 0.2500

Record 2
Dy2CO5: theoretical powder diffraction line list (copper Kα), based on a structure optimized by DFT (GGA-PBE).
Neutral-atom scattering factors, no anomalous dispersion.

Largest 10 diffraction maxima, low angle first, 10° ≤ 2θ ≤ 90°:
d/Å, I_rel
7.602, 455
3.801, 376
3.379, 290
3.298, 621
3.244, 333
2.811, 1000
2.777, 427
2.534, 324
1.928, 459
1.827, 303

Atomic structure:
abc: 15.2043 3.8569 3.8569
angles: 118.83 90.00 90.00
Fractional coordinates of all 16 atoms:
Dy 0.0929 0.1673 0.8327
Dy 0.4071 0.1673 0.8327
Dy 0.5929 0.8327 0.1673
Dy 0.9071 0.8327 0.1673
C 0.2500 0.6495 0.5787
C 0.7500 0.5787 0.6495
O 0.0573 0.8292 0.1661
O 0.1741 0.4708 0.4862
O 0.2500 0.0280 0.7751
O 0.3259 0.4708 0.4862
O 0.4427 0.8292 0.1661
O 0.5573 0.1661 0.8292
O 0.6741 0.4862 0.4708
O 0.7500 0.7751 0.0280
O 0.8259 0.4862 0.4708
O 0.9427 0.1661 0.8292

Record 3
PrDyCO: theoretical powder diffraction line list (copper Kα), based on a structure optimized by DFT (GGA-PBE).
Neutral-atom scattering factors, no anomalous dispersion.

Largest 10 diffraction maxima, low angle first, 10° ≤ 2θ ≤ 90°:
d/Å, I_rel
3.258, 626
3.115, 514
3.061, 526
2.603, 381
2.529, 394
2.179, 1000
1.983, 207
1.949, 191
1.536, 353
1.479, 124

Atomic structure:
abc: 3.2213 3.3799 12.2430
angles: 90.00 90.00 90.00
Fractional coordinates of all 8 atoms:
Pr 0.0000 0.0000 0.0000
Pr 0.5000 0.5000 0.5000
Dy 0.0000 0.5000 0.2506
Dy 0.5000 0.0000 0.7506
C 0.0000 0.5000 0.8391
C 0.5000 0.0000 0.3391
O 0.0000 0.0000 0.5956
O 0.5000 0.5000 0.0956